Calculated powder X-ray diffraction pattern of Zn5Ag2Au2 for Cu Kα, 1.54184 Å, from a structure optimized by DFT (PBE).
Neutral-atom scattering factors, no anomalous dispersion.

Crystal structure
a = 9.1303 Å, b = 9.1303 Å, c = 9.1303 Å
α = 58.77°, β = 147.94°, γ = 132.14°
Fractional coordinates of all 18 atoms:
Zn: 0.0911 0.0831 0.1741
Zn: 0.0911 0.4169 0.5080
Zn: 0.3160 0.1550 0.8250
Zn: 0.3160 0.9910 0.6610
Zn: 0.3300 0.4910 0.1750
Zn: 0.3300 0.6550 0.3390
Zn: 0.5492 0.3967 0.6525
Zn: 0.7442 0.8967 0.3475
Zn: 0.9089 0.5831 0.4920
Zn: 0.9089 0.9169 0.8259
Ag: 0.5763 0.0642 0.3322
Ag: 0.5763 0.7441 0.0120
Ag: 0.7320 0.2441 0.6678
Ag: 0.7320 0.5642 0.9880
Au: 0.0861 0.7434 0.8428
Au: 0.3150 0.3150 0.0000
Au: 0.3150 0.8150 0.5000
Au: 0.9006 0.2434 0.1572

Largest 12 diffraction maxima, low angle first, 2θ from 10° to 80°:
Position (°2θ)  Rel. int.
24.10  36
26.55  22
31.08  21
34.48  31
35.61  37
40.31  94
40.69  100
41.49  62
41.90  57
56.13  31
63.24  18
75.97  18